The following is a calculated powder X-ray diffraction pattern of SrIn4Hg12. It was derived from the GGA-PBE geometry in Alexandria, using Cu Kα X-rays.
No peak broadening, texture or thermal motion is included.

Peak list (8 most intense, 5° ≤ 2θ ≤ 70°, by angle)
hkl  2θ (°)  I (rel.)
3 1 0  27.75  100.0
3 2 1  32.96  29.7
4 0 2  39.64  26.1
4 2 2  43.61  16.4
4 1 3  45.49  46.2
5 0 3  52.48  9.2
6 3 1  61.89  13.5
4 4 4  63.38  9.6

```
data_SrIn4Hg12
_chemical_formula_sum 'Sr2 In8 Hg24'
_symmetry_space_group_name_H-M 'I m -3'
_symmetry_Int_Tables_number 204
_symmetry_space_group_name_Hall '-I 2 2 3'
_cell_length_a 10.168
_cell_length_b 10.168
_cell_length_c 10.168
_cell_angle_alpha 90.00
_cell_angle_beta 90.00
_cell_angle_gamma 90.00
loop_
_atom_site_label
_atom_site_type_symbol
_atom_site_fract_x
_atom_site_fract_y
_atom_site_fract_z
_atom_site_occupancy
Sr1 Sr 0.000 0.000 0.000 1
In1 In 0.250 0.250 0.250 1
Hg1 Hg 0.000 0.146 0.351 1
```



The following is a calculated powder X-ray diffraction pattern of ScCd2In5. It was derived from the GGA-PBE geometry in Alexandria, using Cu Kα X-rays.
No peak broadening, texture or thermal motion is included.

Peak list (8 most intense, 5° ≤ 2θ ≤ 70°, by angle)
hkl  2θ (°)  I (rel.)
1 0 1  17.94  3.9
2 2 0  32.17  69.8
2 0 2  36.34  100.0
4 0 0  46.13  24.9
0 0 4  58.06  6.1
4 2 2  60.10  43.8
4 4 0  67.30  7.7
2 2 4  67.94  15.0

```
data_ScCd2In5
_chemical_formula_sum 'Sc2 Cd4 In10'
_symmetry_space_group_name_H-M 'I 4/m m m'
_symmetry_Int_Tables_number 139
_symmetry_space_group_name_Hall '-I 4 2'
_cell_length_a 7.870
_cell_length_b 7.870
_cell_length_c 6.355
_cell_angle_alpha 90.00
_cell_angle_beta 90.00
_cell_angle_gamma 90.00
loop_
_atom_site_label
_atom_site_type_symbol
_atom_site_fract_x
_atom_site_fract_y
_atom_site_fract_z
_atom_site_occupancy
Sc1 Sc 0.000 0.000 0.000 1
Cd1 Cd 0.000 0.500 0.000 1
In1 In 0.000 0.000 0.500 1
In2 In 0.250 0.250 0.250 1
```



The following is a calculated powder X-ray diffraction pattern of BaNaEuSi3O9. It was derived from the GGA-PBE geometry in Alexandria, using Cu Kα X-rays.
No peak broadening, texture or thermal motion is included.

Peak list (8 most intense, 5° ≤ 2θ ≤ 70°, by angle)
hkl  2θ (°)  I (rel.)
1 2 1  22.84  65.2
1 2 2  25.92  45.9
1 1 3  27.29  53.2
1 3 0  27.72  47.3
0 0 4  28.14  63.9
1 3 1  28.61  100.0
1 3 2  31.16  92.8
2 0 1  31.97  62.8

```
data_BaNaEuSi3O9
_chemical_formula_sum 'Ba4 Na4 Eu4 Si12 O36'
_symmetry_space_group_name_H-M 'P 21 21 21'
_symmetry_Int_Tables_number 19
_cell_length_a 5.740
_cell_length_b 11.662
_cell_length_c 12.685
_cell_angle_alpha 90.00
_cell_angle_beta 90.00
_cell_angle_gamma 90.00
loop_
_symmetry_equiv_pos_as_xyz
'x,y,z'
'-x+1/2,-y,z+1/2'
'x+1/2,-y+1/2,-z'
'-x,y+1/2,-z+1/2'
loop_
_atom_site_label
_atom_site_type_symbol
_atom_site_fract_x
_atom_site_fract_y
_atom_site_fract_z
_atom_site_occupancy
Ba1 Ba 0.103 0.116 0.419 1
Na1 Na 0.070 0.784 0.393 1
Eu1 Eu 0.112 0.469 0.362 1
Si1 Si 0.098 0.197 0.687 1
Si2 Si 0.098 0.849 0.643 1
Si3 Si 0.105 0.589 0.623 1
O1 O 0.012 0.499 0.536 1
O2 O 0.035 0.442 0.930 1
O3 O 0.080 0.320 0.755 1
O4 O 0.098 0.098 0.783 1
O5 O 0.113 0.724 0.574 1
O6 O 0.129 0.687 0.889 1
O7 O 0.138 0.123 0.182 1
O8 O 0.145 0.440 0.177 1
O9 O 0.159 0.813 0.124 1
```



The following is a calculated powder X-ray diffraction pattern of Pm7Tm3Th. It was derived from the GGA-PBE geometry in Alexandria, using Cu Kα X-rays.
No peak broadening, texture or thermal motion is included.

Peak list (8 most intense, 5° ≤ 2θ ≤ 70°, by angle)
hkl  2θ (°)  I (rel.)
2 2 -2  28.86  33.0
6 0 0  31.34  48.9
0 0 4  31.92  100.0
6 0 -4  33.40  29.9
2 2 2  33.75  53.3
4 2 -6  50.66  25.5
10 2 -6  60.52  15.0
2 2 6  61.03  29.3

```
data_Pm7Tm3Th
_chemical_formula_sum 'Pm28 Tm12 Th4'
_symmetry_space_group_name_H-M 'C 1 2/c 1'
_symmetry_Int_Tables_number 15
_cell_length_a 19.124
_cell_length_b 7.176
_cell_length_c 12.504
_cell_angle_alpha 90.00
_cell_angle_beta 116.42
_cell_angle_gamma 90.00
loop_
_symmetry_equiv_pos_as_xyz
'x,y,z'
'-x,-y,-z'
'-x,y,-z+1/2'
'x,-y,z+1/2'
'x+1/2,y+1/2,z'
'-x+1/2,-y+1/2,-z'
'-x+1/2,y+1/2,-z+1/2'
'x+1/2,-y+1/2,z+1/2'
loop_
_atom_site_label
_atom_site_type_symbol
_atom_site_fract_x
_atom_site_fract_y
_atom_site_fract_z
_atom_site_occupancy
Pm1 Pm 0.000 0.233 0.250 1
Pm2 Pm 0.164 0.249 0.024 1
Pm3 Pm 0.164 0.496 0.775 1
Pm4 Pm 0.166 0.245 0.528 1
Tm1 Tm 0.000 0.500 0.000 1
Tm2 Tm 0.167 0.003 0.274 1
Th1 Th 0.000 0.000 0.000 1
```



The following is a calculated powder X-ray diffraction pattern of KBr. It was derived from the GGA-PBE geometry in Alexandria, using Cu Kα X-rays.
No peak broadening, texture or thermal motion is included.

Peak list (8 most intense, 5° ≤ 2θ ≤ 70°, by angle)
hkl  2θ (°)  I (rel.)
1 0 0  18.11  100.0
1 0 1  22.57  36.8
0 0 2  26.92  49.7
1 1 0  31.63  96.4
1 0 2  32.63  44.2
1 1 2  42.00  84.5
3 0 2  63.51  23.2
1 1 4  65.29  21.3

```
data_KBr
_chemical_formula_sum 'K2 Br2'
_symmetry_space_group_name_H-M 'P 63/m m c'
_symmetry_Int_Tables_number 194
_symmetry_space_group_name_Hall '-P 6c 2c'
_cell_length_a 5.6574
_cell_length_b 5.6574
_cell_length_c 6.6244
_cell_angle_alpha 90.00
_cell_angle_beta 90.00
_cell_angle_gamma 120.00
loop_
_atom_site_label
_atom_site_type_symbol
_atom_site_fract_x
_atom_site_fract_y
_atom_site_fract_z
_atom_site_occupancy
K1 K 0.3333 0.6667 0.2500 1
Br1 Br 0.3333 0.6667 0.7500 1
```



The following is a calculated powder X-ray diffraction pattern of Tl2In2Au15. It was derived from the GGA-PBE geometry in Alexandria, using Cu Kα X-rays.
No peak broadening, texture or thermal motion is included.

Peak list (8 most intense, 5° ≤ 2θ ≤ 70°, by angle)
hkl  2θ (°)  I (rel.)
3 0 0  31.17  28.2
2 2 0  36.15  42.2
3 0 3  36.74  100.0
0 0 6  38.46  32.1
2 2 3  41.13  81.5
1 1 6  42.70  22.0
3 3 3  59.17  25.8
6 0 0  65.01  30.4

```
data_Tl2In2Au15
_chemical_formula_sum 'Tl6 In6 Au45'
_symmetry_space_group_name_H-M 'R -3 m'
_symmetry_Int_Tables_number 166
_symmetry_space_group_name_Hall '-R 3 2"'
_cell_length_a 9.9388
_cell_length_b 9.9388
_cell_length_c 14.0441
_cell_angle_alpha 90.00
_cell_angle_beta 90.00
_cell_angle_gamma 120.00
loop_
_atom_site_label
_atom_site_type_symbol
_atom_site_fract_x
_atom_site_fract_y
_atom_site_fract_z
_atom_site_occupancy
Tl1 Tl 0.0000 0.0000 0.1371 1
In1 In 0.0000 0.0000 0.3946 1
Au1 Au 0.0000 0.3312 0.5000 1
Au2 Au 0.0000 0.5000 0.0000 1
Au3 Au 0.0007 0.5003 0.3351 1
```



The following is a calculated powder X-ray diffraction pattern of CaPr5Ho4. It was derived from the GGA-PBE geometry in Alexandria, using Cu Kα X-rays.
No peak broadening, texture or thermal motion is included.

Peak list (8 most intense, 5° ≤ 2θ ≤ 70°, by angle)
hkl  2θ (°)  I (rel.)
0 0 2  6.85  7.2
0 0 3  10.28  3.1
1 0 5  29.96  100.0
1 0 6  32.14  4.5
1 1 0  34.72  50.2
2 0 0  49.93  34.5
2 1 5  59.32  40.0
2 0 10  62.25  11.3

```
data_CaPr5Ho4
_chemical_formula_sum 'Ca1 Pr5 Ho4'
_symmetry_space_group_name_H-M 'P 4/m m m'
_symmetry_Int_Tables_number 123
_symmetry_space_group_name_Hall '-P 4 2'
_cell_length_a 3.655
_cell_length_b 3.655
_cell_length_c 25.806
_cell_angle_alpha 90.00
_cell_angle_beta 90.00
_cell_angle_gamma 90.00
loop_
_atom_site_label
_atom_site_type_symbol
_atom_site_fract_x
_atom_site_fract_y
_atom_site_fract_z
_atom_site_occupancy
Ca1 Ca 0.000 0.000 0.000 1
Pr1 Pr 0.500 0.500 0.110 1
Pr2 Pr 0.500 0.500 0.305 1
Pr3 Pr 0.500 0.500 0.500 1
Ho1 Ho 0.000 0.000 0.205 1
Ho2 Ho 0.000 0.000 0.402 1
```



The following is a calculated powder X-ray diffraction pattern of TbSi3Rh5. It was derived from the GGA-PBE geometry in Alexandria, using Cu Kα X-rays.
No peak broadening, texture or thermal motion is included.

Peak list (8 most intense, 5° ≤ 2θ ≤ 70°, by angle)
hkl  2θ (°)  I (rel.)
3 2 0  28.80  25.8
4 0 1  35.15  13.5
3 2 1  37.07  100.0
2 5 0  41.72  8.4
0 0 2  46.72  19.1
5 3 0  47.05  9.8
1 7 0  50.99  15.4
6 4 1  64.70  7.0

```
data_TbSi3Rh5
_chemical_formula_sum 'Tb6 Si18 Rh30'
_symmetry_space_group_name_H-M 'P 63/m'
_symmetry_Int_Tables_number 176
_symmetry_space_group_name_Hall '-P 6c'
_cell_length_a 15.6138
_cell_length_b 15.6138
_cell_length_c 3.8884
_cell_angle_alpha 90.00
_cell_angle_beta 90.00
_cell_angle_gamma 120.00
loop_
_atom_site_label
_atom_site_type_symbol
_atom_site_fract_x
_atom_site_fract_y
_atom_site_fract_z
_atom_site_occupancy
Tb1 Tb 0.1000 0.7058 0.2500 1
Si1 Si 0.0617 0.4322 0.2500 1
Si2 Si 0.1192 0.8693 0.7500 1
Si3 Si 0.2398 0.6814 0.7500 1
Rh1 Rh 0.0279 0.8887 0.2500 1
Rh2 Rh 0.0441 0.2704 0.2500 1
Rh3 Rh 0.0751 0.5385 0.7500 1
Rh4 Rh 0.1529 0.4139 0.7500 1
Rh5 Rh 0.2234 0.5708 0.2500 1
```



> What is the formula in the third record?

BaNaEuSi3O9



> Number 7 is which compound?

CaPr5Ho4